No. 1
K4ThS4O18: simulated PXRD pattern (Cu Kα, 1.54184 Å), based on a cell relaxed with GGA-PBE.

Most intense lines, 2θ from 15° to 90°, in order of rising 2θ:
2theta  I (rel.)
20.77  1000
21.40  808
24.31  813
24.86  777
27.12  808
28.66  925

Atomic structure:
a = 9.9350 Å, b = 9.9371 Å, c = 10.2642 Å
α = 62.36°, β = 89.57°, γ = 84.94°
Fractional positions:
1 K 0.0000 0.0000 0.0000
2 K 0.1348 0.5041 0.2647
3 K 0.1485 0.7807 0.7474
4 K 0.2929 0.0220 0.3182
5 K 0.5000 0.5000 0.0000
6 K 0.7071 0.9780 0.6818
7 K 0.8515 0.2193 0.2526
8 K 0.8652 0.4959 0.7353
9 Th 0.3404 0.2769 0.7584
10 Th 0.6596 0.7231 0.2416
11 S 0.0607 0.1687 0.5751
12 S 0.1881 0.3583 0.9875
13 S 0.3240 0.8623 0.0304
14 S 0.4915 0.6643 0.6149
15 S 0.5085 0.3357 0.3851
16 S 0.6760 0.1377 0.9696
17 S 0.8119 0.6417 0.0125
18 S 0.9393 0.8313 0.4249
19 O 0.0111 0.9350 0.2955
20 O 0.0299 0.7141 0.5430
21 O 0.1048 0.2534 0.1014
22 O 0.1375 0.3882 0.8353
23 O 0.1480 0.2524 0.6350
24 O 0.1539 0.0839 0.5206
25 O 0.1951 0.5030 0.9930
26 O 0.2158 0.7847 0.1266
27 O 0.2353 0.4769 0.5284
28 O 0.2754 0.0298 0.9437
29 O 0.3309 0.2829 0.9986
30 O 0.3657 0.7992 0.9306
31 O 0.3767 0.7768 0.5900
32 O 0.3897 0.3187 0.3130
33 O 0.4288 0.0838 0.6854
34 O 0.4461 0.8507 0.1251
35 O 0.4506 0.5044 0.7045
36 O 0.4706 0.3258 0.5353
37 O 0.5294 0.6742 0.4647
38 O 0.5494 0.4956 0.2955
39 O 0.5539 0.1493 0.8749
40 O 0.5712 0.9162 0.3146
41 O 0.6103 0.6813 0.6870
42 O 0.6233 0.2232 0.4100
43 O 0.6343 0.2008 0.0694
44 O 0.6691 0.7171 0.0014
45 O 0.7246 0.9702 0.0563
46 O 0.7647 0.5231 0.4716
47 O 0.7842 0.2153 0.8734
48 O 0.8049 0.4970 0.0070
49 O 0.8461 0.9161 0.4794
50 O 0.8520 0.7476 0.3650
51 O 0.8625 0.6118 0.1647
52 O 0.8952 0.7466 0.8986
53 O 0.9701 0.2859 0.4570
54 O 0.9889 0.0650 0.7045

No. 2
Ca3UN4: simulated PXRD pattern (Cu Kα, 1.54184 Å), based on a cell relaxed with GGA-PBE.

Most intense lines, 2θ from 15° to 90°, in order of rising 2θ:
2theta  I (rel.)
17.75  321
20.20  1000
31.44  866
36.72  514
42.27  318
52.33  326

Atomic structure:
a = 6.0790 Å, b = 4.8946 Å, c = 6.0791 Å
α = 66.26°, β = 47.48°, γ = 66.26°
Fractional positions:
1 Ca 0.0000 0.0000 0.0000
2 Ca 0.2504 0.2504 0.2496
3 Ca 0.7504 0.7504 0.7496
4 U 0.4982 0.4982 0.5018
5 N 0.0144 0.4992 0.9856
6 N 0.2984 0.7028 0.2972
7 N 0.4992 0.0144 0.5008
8 N 0.7028 0.2984 0.7016

No. 3
TiP2O7: simulated PXRD pattern (Cu Kα, 1.54184 Å), based on a cell relaxed with GGA-PBE.

Most intense lines, 2θ from 15° to 90°, in order of rising 2θ:
2theta  I (rel.)
20.43  523
21.12  841
22.61  511
26.32  804
28.84  1000
30.32  575

Atomic structure:
a = 6.9002 Å, b = 8.6930 Å, c = 9.6265 Å
α = 90.00°, β = 105.89°, γ = 90.00°
Fractional positions:
1 Ti 0.2012 0.0777 0.2998
2 Ti 0.2012 0.4223 0.7998
3 Ti 0.7988 0.5777 0.2002
4 Ti 0.7988 0.9223 0.7002
5 P 0.0263 0.7171 0.9631
6 P 0.0263 0.7829 0.4631
7 P 0.3936 0.7491 0.2324
8 P 0.3936 0.7509 0.7324
9 P 0.6063 0.2491 0.2676
10 P 0.6063 0.2509 0.7676
11 P 0.9737 0.2171 0.5369
12 P 0.9737 0.2829 0.0369
13 O 0.0326 0.1282 0.1211
14 O 0.0326 0.3718 0.6211
15 O 0.0374 0.5892 0.8576
16 O 0.0374 0.9108 0.3576
17 O 0.1297 0.1912 0.4520
18 O 0.1297 0.3088 0.9520
19 O 0.2406 0.7373 0.0697
20 O 0.2406 0.7627 0.5697
21 O 0.3474 0.6373 0.3326
22 O 0.3474 0.8627 0.8326
23 O 0.3766 0.5770 0.7715
24 O 0.3766 0.9230 0.2715
25 O 0.3993 0.2279 0.3025
26 O 0.3993 0.2721 0.8025
27 O 0.6007 0.7279 0.1975
28 O 0.6007 0.7721 0.6975
29 O 0.6234 0.0770 0.7285
30 O 0.6234 0.4230 0.2285
31 O 0.6526 0.1373 0.1674
32 O 0.6526 0.3627 0.6674
33 O 0.7594 0.2373 0.4303
34 O 0.7594 0.2627 0.9303
35 O 0.8703 0.6912 0.0480
36 O 0.8703 0.8088 0.5480
37 O 0.9626 0.0892 0.6424
38 O 0.9626 0.4108 0.1424
39 O 0.9674 0.6282 0.3789
40 O 0.9674 0.8718 0.8789

No. 4
HfTe2: simulated PXRD pattern (Cu Kα, 1.54184 Å), based on a cell relaxed with GGA-PBE.

Most intense lines, 2θ from 15° to 90°, in order of rising 2θ:
2theta  I (rel.)
28.19  1000
34.90  731
44.11  377
45.13  353
58.29  167
67.74  175

Atomic structure:
a = 4.0183 Å, b = 4.0183 Å, c = 7.6288 Å
α = 90.00°, β = 90.00°, γ = 120.00°
Fractional positions:
1 Hf 0.0000 0.0000 0.0000
2 Te 0.3333 0.6667 0.2281
3 Te 0.6667 0.3333 0.7719

No. 5
HoTe3: simulated PXRD pattern (Cu Kα, 1.54184 Å), based on a cell relaxed with GGA-PBE.

Most intense lines, 2θ from 15° to 90°, in order of rising 2θ:
2theta  I (rel.)
25.33  560
29.81  896
31.17  334
31.80  219
37.29  1000
38.72  331

Atomic structure:
a = 14.2014 Å, b = 14.2014 Å, c = 4.6509 Å
α = 90.00°, β = 90.00°, γ = 163.98°
Fractional positions:
1 Ho 0.0496 0.9504 0.7500
2 Ho 0.9504 0.0496 0.2500
3 Te 0.1625 0.8375 0.7500
4 Te 0.3146 0.6854 0.7500
5 Te 0.4484 0.5516 0.7500
6 Te 0.5516 0.4484 0.2500
7 Te 0.6854 0.3146 0.2500
8 Te 0.8375 0.1625 0.2500

No. 6
Er4Ga12Pt: simulated PXRD pattern (Cu Kα, 1.54184 Å), based on a cell relaxed with GGA-PBE.

Most intense lines, 2θ from 15° to 90°, in order of rising 2θ:
2theta  I (rel.)
29.33  583
36.13  1000
39.14  243
41.96  817
60.84  481
72.85  290

Atomic structure:
a = 7.4587 Å, b = 7.4587 Å, c = 7.4587 Å
α = 109.47°, β = 109.47°, γ = 109.47°
Fractional positions:
1 Er 0.0000 0.0000 0.5000
2 Er 0.0000 0.5000 0.0000
3 Er 0.5000 0.0000 0.0000
4 Er 0.5000 0.5000 0.5000
5 Ga 0.0000 0.2967 0.2967
6 Ga 0.0000 0.7033 0.7033
7 Ga 0.2500 0.5000 0.7500
8 Ga 0.2500 0.7500 0.5000
9 Ga 0.2967 0.0000 0.2967
10 Ga 0.2967 0.2967 0.0000
11 Ga 0.5000 0.2500 0.7500
12 Ga 0.5000 0.7500 0.2500
13 Ga 0.7033 0.0000 0.7033
14 Ga 0.7033 0.7033 0.0000
15 Ga 0.7500 0.2500 0.5000
16 Ga 0.7500 0.5000 0.2500
17 Pt 0.0000 0.0000 0.0000

No. 7
BaTiO3: simulated PXRD pattern (Cu Kα, 1.54184 Å), based on a cell relaxed with GGA-PBE.

Most intense lines, 2θ from 15° to 90°, in order of rising 2θ:
2theta  I (rel.)
16.71  316
19.85  632
27.07  155
28.98  1000
33.79  270
40.89  333

Atomic structure:
a = 3.7842 Å, b = 5.5558 Å, c = 5.5558 Å
α = 107.26°, β = 90.00°, γ = 90.00°
Fractional positions:
1 Ba 0.0000 0.0000 0.0000
2 Ti 0.5000 0.4617 0.4617
3 O 0.5000 0.1448 0.4549
4 O 0.5000 0.4549 0.1448
5 O 0.5000 0.7379 0.7379

No. 8
Cs2RbSbCl6: simulated PXRD pattern (Cu Kα, 1.54184 Å), based on a cell relaxed with GGA-PBE.

Most intense lines, 2θ from 15° to 90°, in order of rising 2θ:
2theta  I (rel.)
21.67  1000
30.84  600
38.01  455
44.17  410
49.72  239
59.66  267

Atomic structure:
a = 8.2014 Å, b = 8.2014 Å, c = 8.2014 Å
α = 60.00°, β = 60.00°, γ = 60.00°
Fractional positions:
1 Cs 0.2500 0.2500 0.2500
2 Cs 0.7500 0.7500 0.7500
3 Rb 0.0000 0.0000 0.0000
4 Sb 0.5000 0.5000 0.5000
5 Cl 0.2702 0.2702 0.7298
6 Cl 0.2702 0.7298 0.2702
7 Cl 0.2702 0.7298 0.7298
8 Cl 0.7298 0.2702 0.2702
9 Cl 0.7298 0.2702 0.7298
10 Cl 0.7298 0.7298 0.2702